1.
Computed powder diffraction line list of Sm2Tm12Th5 for Cu Kα (λ = 1.5418 Å), from a structure optimized by DFT (GGA-PBE).
Intensities are scaled so that the largest is 100.

Structural model:
Cell: 9.918 9.918 10.090 Å, 111.77 111.77 41.54°
Fractional coordinates of all 19 atoms:
Sm (0.212, 0.788, 0.000)
Sm (0.788, 0.212, 0.000)
Tm (0.002, 0.002, 0.327)
Tm (0.087, 0.583, 0.488)
Tm (0.097, 0.588, 0.138)
Tm (0.412, 0.903, 0.862)
Tm (0.417, 0.913, 0.512)
Tm (0.474, 0.474, 0.766)
Tm (0.526, 0.526, 0.234)
Tm (0.583, 0.087, 0.488)
Tm (0.588, 0.097, 0.138)
Tm (0.903, 0.412, 0.862)
Tm (0.913, 0.417, 0.512)
Tm (0.998, 0.998, 0.673)
Th (0.182, 0.182, 0.212)
Th (0.311, 0.311, 0.815)
Th (0.500, 0.500, 0.500)
Th (0.689, 0.689, 0.185)
Th (0.818, 0.818, 0.788)

Largest 10 diffraction maxima, in order of rising 2θ, 2θ from 10° to 80°:
2θ/deg  intensity
28.18  34
28.92  28
30.50  87
31.53  75
31.96  100
33.03  47
33.35  23
34.61  33
52.01  23
62.08  27

2.
Computed powder diffraction line list of Sm2DyYSe5 for Cu Kα (λ = 1.5418 Å), from a structure optimized by DFT (GGA-PBE).
Intensities are scaled so that the largest is 100.

Structural model:
Cell: 5.152 5.152 10.736 Å, 90.00 90.00 90.00°
Fractional coordinates of all 9 atoms:
Sm (0.000, 0.000, 0.169)
Sm (0.000, 0.000, 0.831)
Dy (0.500, 0.500, 0.000)
Y (0.500, 0.500, 0.500)
Se (0.000, 0.000, 0.500)
Se (0.000, 0.500, 0.000)
Se (0.500, 0.000, 0.000)
Se (0.500, 0.500, 0.254)
Se (0.500, 0.500, 0.746)

Largest 10 diffraction maxima, in order of rising 2θ, 2θ from 10° to 80°:
2θ/deg  intensity
24.43  100
30.41  61
34.83  90
35.15  41
37.79  35
46.90  37
49.01  20
50.07  32
52.33  27
56.48  20